Diffraction record for In2PCl. The powder XRD pattern is simulated, not measured: it uses a crystal structure in Alexandria, relaxed with PBE and Cu Kα X-rays.

Top 10 peaks for 2θ from 5° to 70°, by angle:
- (0 0 1), 2θ 12.49, d = 7.085 Å, I = 31
- (1 1 -1), 2θ 26.82, d = 3.324 Å, I = 52
- (1 1 1), 2θ 28.53, d = 3.128 Å, I = 100
- (2 0 1), 2θ 29.71, d = 3.007 Å, I = 31
- (2 0 -2), 2θ 32.95, d = 2.719 Å, I = 50
- (1 1 2), 2θ 36.82, d = 2.441 Å, I = 32
- (0 2 0), 2θ 43.07, d = 2.100 Å, I = 23
- (3 1 -1), 2θ 44.07, d = 2.055 Å, I = 29
- (1 1 -3), 2θ 44.20, d = 2.049 Å, I = 29
- (2 2 -2), 2θ 55.25, d = 1.663 Å, I = 29

Structural model:
```
data_In2PCl
_chemical_formula_sum 'In4 P2 Cl2'
_cell_length_a 7.1939
_cell_length_b 4.2005
_cell_length_c 7.1630
_cell_angle_alpha 90.00
_cell_angle_beta 98.47
_cell_angle_gamma 90.00
_space_group_name_H-M_alt 'C 1 2/m 1'
_space_group_IT_number 12
loop_
_space_group_symop_operation_xyz
'x,y,z'
'-x,-y,-z'
'-x,y,-z'
'x,-y,z'
'x+1/2,y+1/2,z'
'-x+1/2,-y+1/2,-z'
'-x+1/2,y+1/2,-z'
'x+1/2,-y+1/2,z'
loop_
_atom_site_label
_atom_site_type_symbol
_atom_site_fract_x
_atom_site_fract_y
_atom_site_fract_z
In1 In 0.1947 0.0000 0.1948
P1 P 0.0000 0.5000 0.0000
Cl1 Cl 0.0000 0.0000 0.5000
```